Simulated powder XRD pattern
Compound: AlTlFe2F2
Radiation: copper Kα
Structure: a cell relaxed with GGA+U
Lines closer than 0.1° are merged.

Peak list (12 most intense, 2θ = 5–70°, low angle first)
d/Å	I/Imax
4.645	94
3.688	99
3.285	78
3.032	51
2.888	80
2.855	30
2.539	85
2.323	38
2.228	26
2.169	27
1.965	100
1.449	45

Structural model:
Unit cell a=7.638 b=7.638 c=7.638 alpha=129.06 beta=129.06 gamma=74.91
Fractional coordinates of all 12 atoms:
1 Al 0.000 0.000 0.000
2 Al 0.500 0.500 0.000
3 Tl 0.250 0.750 0.500
4 Tl 0.750 0.250 0.500
5 Fe 0.141 0.641 0.783
6 Fe 0.359 0.141 0.500
7 Fe 0.641 0.859 0.500
8 Fe 0.859 0.359 0.217
9 F 0.145 0.145 0.000
10 F 0.355 0.355 0.000
11 F 0.645 0.645 0.000
12 F 0.855 0.855 0.000